Entry 1:
Ga2HgTe4: calculated PXRD pattern (Cu Kα), based on a DFT-relaxed cell (PBE, the Materials Project).

Cell and atoms:
a b c (Å): 6.055 6.055 12.826
angles (deg): 90.00 90.00 90.00
Space group I-42m (No. 121)
One atom of each set of equivalent atoms:
Ga1 0.000 0.500 0.250 x4
Hg1 0.000 0.000 0.000 x2
Te1 0.220 0.220 0.376 x8

Largest 6 diffraction maxima, in order of rising 2θ, 2θ from 10° to 80°:
2θ 25.0, d 3.561, I = 100; 2θ 25.5, d 3.492, I = 19; 2θ 33.8, d 2.649, I = 22; 2θ 41.0, d 2.201, I = 50; 2θ 42.2, d 2.141, I = 21; 2θ 49.7, d 1.835, I = 26



Entry 2:
Li4Ti3Sn5O16: calculated PXRD pattern (Cu Kα), based on a DFT-relaxed cell (PBE, the Materials Project).

Cell and atoms:
a b c (Å): 10.812 6.203 10.699
angles (deg): 90.00 90.12 90.00
Space group Cm (No. 8)
One atom of each set of equivalent atoms:
Li1 0.000 0.000 0.000 x2
Li2 0.004 0.000 0.505 x2
Li3 0.159 0.500 0.111 x2
Li4 0.326 0.000 0.633 x2
Ti1 0.080 0.256 0.785 x4
Ti2 0.168 0.000 0.279 x2
Sn1 0.156 0.500 0.493 x2
Sn2 0.324 0.000 0.990 x2
Sn3 0.328 0.500 0.784 x2
Sn4 0.412 0.250 0.281 x4
O1 0.006 0.500 0.693 x2
O2 0.073 0.220 0.389 x4
O3 0.139 0.000 0.886 x2
O4 0.153 0.500 0.890 x2
O5 0.231 0.258 0.690 x4
O6 0.242 0.228 0.182 x4
O7 0.323 0.000 0.387 x2
O8 0.345 0.500 0.391 x2
O9 0.424 0.274 0.891 x4
O10 0.484 0.000 0.176 x2
O11 0.498 0.500 0.685 x2
O12 0.499 0.500 0.179 x2

Largest 6 diffraction maxima, in order of rising 2θ, 2θ from 10° to 80°:
2θ 16.6, d 5.350, I = 60; 2θ 18.4, d 4.815, I = 100; 2θ 23.4, d 3.797, I = 51; 2θ 30.0, d 2.974, I = 75; 2θ 33.3, d 2.692, I = 63; 2θ 34.4, d 2.609, I = 49



Entry 3:
LiDy3: calculated PXRD pattern (Cu Kα), based on a DFT-relaxed cell (PBE, the Materials Project).

Cell and atoms:
a b c (Å): 4.880 4.880 4.880
angles (deg): 90.00 90.00 90.00
Space group Pm-3m (No. 221)
One atom of each set of equivalent atoms:
Li1 0.000 0.000 0.000 x1
Dy1 0.000 0.500 0.500 x3

Largest 6 diffraction maxima, in order of rising 2θ, 2θ from 10° to 80°:
2θ 18.2, d 4.880, I = 30; 2θ 25.8, d 3.451, I = 26; 2θ 31.8, d 2.817, I = 100; 2θ 36.8, d 2.440, I = 50; 2θ 53.1, d 1.725, I = 36; 2θ 63.2, d 1.471, I = 42



Entry 4:
H: calculated PXRD pattern (Cu Kα), based on a DFT-relaxed cell (PBE, the Materials Project).

Cell and atoms:
a b c (Å): 4.955 5.477 4.697
angles (deg): 90.00 90.00 90.00
Space group Pnma (No. 62)
One atom of each set of equivalent atoms:
H1 0.016 0.250 0.043 x4
H2 0.029 0.544 0.447 x8
H3 0.123 0.750 0.016 x4

Largest 6 diffraction maxima, in order of rising 2θ, 2θ from 10° to 80°:
2θ 30.9, d 2.894, I = 10; 2θ 36.3, d 2.478, I = 41; 2θ 38.3, d 2.349, I = 45; 2θ 39.9, d 2.257, I = 6; 2θ 42.3, d 2.135, I = 100; 2θ 53.8, d 1.704, I = 7